Record 1
Diffraction record for Ac5Rh. The XRD peak list is theoretical, not measured: it uses a GGA-PBE-relaxed structure and Cu Ka.
Lines closer than 0.1° are merged.

Structure:
```
6
Lattice="2.0265 -9.3818 0.0000 2.0265 9.3818 0.0000 0.0000 0.0000 6.4515" Properties=species:S:1:pos:R:3 pbc="T T T"
Ac 0.0000 0.0000 0.0000
Ac 2.0265 7.2421 3.2258
Ac 2.0265 3.1209 0.0000
Ac 2.0265 -3.1209 0.0000
Ac 2.0265 -7.2421 3.2258
Rh 2.0265 0.0000 3.2258
```

Main lines, sorted by position (2θ from 10° to 90°):
two_theta	I_rel
27.65	43
29.69	100
31.80	22
35.44	16
44.72	12
49.14	12
50.19	24
53.39	14
57.32	16
78.66	11

***

Record 2
Diffraction record for Ac4Rh. The XRD peak list is theoretical, not measured: it uses a GGA-PBE-relaxed structure and Cu Ka.
Lines closer than 0.1° are merged.

Structure:
```
10
Lattice="4.1660 -7.1681 0.0000 4.1660 7.1681 0.0000 0.0000 0.0000 6.8524" Properties=species:S:1:pos:R:3 pbc="T T T"
Ac 2.0830 1.2531 5.1393
Ac 4.1660 4.7309 5.1745
Ac 4.1660 2.4371 1.7483
Ac 2.0830 -1.2531 1.7131
Ac 6.2490 1.2531 5.1393
Ac 4.1660 -2.4371 5.1040
Ac 4.1660 -4.7309 1.6779
Ac 6.2490 -1.2531 1.7131
Rh 0.0000 0.0000 0.0000
Rh 4.1660 0.0000 3.4262
```

Main lines, sorted by position (2θ from 10° to 90°):
two_theta	I_rel
24.72	13
26.01	31
27.99	100
28.10	48
36.21	39
43.44	13
43.67	25
47.14	37
51.53	19
52.54	18

***

Record 3
Diffraction record for Ac8Ru3Rh. The XRD peak list is theoretical, not measured: it uses a GGA-PBE-relaxed structure and Cu Ka.
Lines closer than 0.1° are merged.

Structure:
```
12
Lattice="4.3561 2.5150 6.5540 -4.3561 2.5150 6.5540 0.0000 -5.0299 6.5540" Properties=species:S:1:pos:R:3 pbc="T T T"
Ac -2.2083 -1.2749 11.3814
Ac 0.0000 0.0000 4.8380
Ac 0.0000 -2.5499 8.2807
Ac -2.2083 1.2749 8.2807
Ac 2.2083 -1.2749 11.3813
Ac 0.0000 2.5499 11.3813
Ac 0.0000 0.0000 14.8240
Ac 2.2083 1.2749 8.2807
Ru -4.3560 0.0000 9.8310
Ru -2.1780 1.2575 3.2770
Ru 2.1780 1.2575 3.2770
Rh 0.0000 0.0000 9.8310
```

Main lines, sorted by position (2θ from 10° to 90°):
two_theta	I_rel
13.51	15
25.29	57
27.21	15
29.86	100
41.46	42
43.97	34
50.30	18
51.92	22
68.52	19
72.14	16